No. 1
This entry pairs a crystal structure of ZnBi6P2O15 with its simulated powder X-ray diffraction pattern. Radiation: CuKα. Structure: a cell relaxed with PBE.
Peak positions follow from Bragg's law for the DFT cell and can differ from measured ones.

Top 12 peaks for 2θ from 10° to 80°, by intensity:
index  d_spacing  I/Imax
3 1 2  3.108  1000
3 1 -4  3.013  984
0 2 0  2.715  381
0 2 6  1.924  315
0 0 6  2.727  311
2 0 -1  7.427  209
3 3 -4  1.619  186
3 3 2  1.633  183
2 0 0  7.325  181
1 1 -3  3.897  165
1 1 3  3.568  158
6 2 -2  1.848  156

Atomic structure:
```
data_ZnBi6P2O15
_chemical_formula_sum 'Zn4 Bi24 P8 O60'
_cell_length_a 15.1483
_cell_length_b 5.4294
_cell_length_c 16.9186
_cell_angle_alpha 90.00
_cell_angle_beta 104.73
_cell_angle_gamma 90.00
_symmetry_space_group_name_H-M 'C 1 2 1'
_symmetry_Int_Tables_number 5
loop_
_symmetry_equiv_pos_as_xyz
'x,y,z'
'-x,y,-z'
'x+1/2,y+1/2,z'
'-x+1/2,y+1/2,-z'
loop_
_atom_site_label
_atom_site_fract_x
_atom_site_fract_y
_atom_site_fract_z
Zn1 0.1886 0.0000 0.2671
Bi1 0.0266 0.0005 0.9089
Bi2 0.0290 0.4604 0.2417
Bi3 0.0746 0.9995 0.4253
Bi4 0.0978 0.5029 0.5908
Bi5 0.1418 0.9831 0.7427
Bi6 0.2117 0.5122 0.8919
P1 0.1378 0.5548 0.0761
P2 0.2179 0.5134 0.3997
O1 0.0000 0.2524 0.5000
O2 0.0000 0.7430 0.5000
O3 0.0233 0.2575 0.6638
O4 0.0275 0.7609 0.6619
O5 0.0430 0.5969 0.0943
O6 0.0686 0.0791 0.2056
O7 0.0944 0.2690 0.8404
O8 0.0961 0.7796 0.8389
O9 0.1472 0.2836 0.0520
O10 0.1507 0.7293 0.0064
O11 0.1714 0.2908 0.3456
O12 0.1769 0.9987 0.5885
O13 0.1802 0.7499 0.3486
O14 0.1867 0.5192 0.4787
O15 0.2014 0.5802 0.7593
O16 0.2131 0.6306 0.1544
```

No. 2
This entry pairs a crystal structure of DyZrCSe with its simulated powder X-ray diffraction pattern. Radiation: CuKα. Structure: a cell relaxed with PBE.
Peak positions follow from Bragg's law for the DFT cell and can differ from measured ones.

Top 12 peaks for 2θ from 10° to 80°, by intensity:
index  d_spacing  I/Imax
0 1 3  2.535  1000
1 0 0  3.121  279
1 1 0  1.802  275
2 0 3  1.469  181
1 1 6  1.387  140
1 0 6  1.784  112
0 0 6  2.173  99
0 1 2  2.815  91
1 0 1  3.036  83
0 1 7  1.599  70
0 1 9  1.314  54
0 0 4  3.259  54

Atomic structure:
```
data_DyZrCSe
_chemical_formula_sum 'Dy2 Zr2 C2 Se2'
_cell_length_a 3.6043
_cell_length_b 3.6043
_cell_length_c 13.0377
_cell_angle_alpha 90.00
_cell_angle_beta 90.00
_cell_angle_gamma 120.00
_symmetry_space_group_name_H-M 'P -3 m 1'
_symmetry_Int_Tables_number 164
_symmetry_space_group_name_Hall '-P 3 2"'
loop_
_atom_site_label
_atom_site_fract_x
_atom_site_fract_y
_atom_site_fract_z
Dy1 0.3333 0.6667 0.1030
Zr1 0.3333 0.6667 0.4083
C1 0.0000 0.0000 0.0000
C2 0.0000 0.0000 0.5000
Se1 0.3333 0.6667 0.7359
```

No. 3
This entry pairs a crystal structure of La2TcH6 with its simulated powder X-ray diffraction pattern. Radiation: CuKα. Structure: a cell relaxed with PBE.
Peak positions follow from Bragg's law for the DFT cell and can differ from measured ones.

Top 12 peaks for 2θ from 10° to 80°, by intensity:
index  d_spacing  I/Imax
2 2 0  2.640  1000
4 2 2  1.524  370
2 0 0  3.733  254
4 0 0  1.867  187
1 1 1  4.311  181
4 4 0  1.320  116
4 2 0  1.670  108
3 1 1  2.251  93
2 2 2  2.155  88
6 0 0  1.244  52
3 3 1  1.713  39
5 1 1  1.437  29

Atomic structure:
```
data_La2TcH6
_chemical_formula_sum 'La8 Tc4 H24'
_cell_length_a 7.4665
_cell_length_b 7.4665
_cell_length_c 7.4665
_cell_angle_alpha 90.00
_cell_angle_beta 90.00
_cell_angle_gamma 90.00
_symmetry_space_group_name_H-M 'F m -3 m'
_symmetry_Int_Tables_number 225
_symmetry_space_group_name_Hall '-F 4 2 3'
loop_
_atom_site_label
_atom_site_fract_x
_atom_site_fract_y
_atom_site_fract_z
La1 0.2500 0.2500 0.2500
Tc1 0.0000 0.0000 0.0000
H1 0.0000 0.0000 0.2401
```

No. 4
This entry pairs a crystal structure of Cs2NaAuF6 with its simulated powder X-ray diffraction pattern. Radiation: CuKα. Structure: a cell relaxed with PBE.
Peak positions follow from Bragg's law for the DFT cell and can differ from measured ones.

Top 12 peaks for 2θ from 10° to 80°, by intensity:
index  d_spacing  I/Imax
1 1 0  3.064  1000
0 1 8  3.079  407
3 0 0  1.770  381
1 0 7  3.351  312
0 2 7  2.261  267
1 0 4  4.343  246
1 0 10  2.628  226
2 2 0  1.532  218
2 0 5  2.430  208
0 1 5  3.989  207
2 0 8  2.172  195
0 1 2  5.007  184

Atomic structure:
```
data_Cs2NaAuF6
_chemical_formula_sum 'Cs12 Na6 Au6 F36'
_cell_length_a 6.1271
_cell_length_b 6.1271
_cell_length_c 30.2470
_cell_angle_alpha 90.00
_cell_angle_beta 90.00
_cell_angle_gamma 120.00
_symmetry_space_group_name_H-M 'R -3 m'
_symmetry_Int_Tables_number 166
_symmetry_space_group_name_Hall '-R 3 2"'
loop_
_atom_site_label
_atom_site_fract_x
_atom_site_fract_y
_atom_site_fract_z
Cs1 0.0000 0.0000 0.1279
Cs2 0.0000 0.0000 0.2864
Na1 0.0000 0.0000 0.4084
Au1 0.0000 0.0000 0.0000
Au2 0.0000 0.0000 0.5000
F1 0.0075 0.5037 0.1241
F2 0.0093 0.5047 0.7063
```

No. 5
This entry pairs a crystal structure of MgTaPO with its simulated powder X-ray diffraction pattern. Radiation: CuKα. Structure: a cell relaxed with PBE.
Peak positions follow from Bragg's law for the DFT cell and can differ from measured ones.

Top 12 peaks for 2θ from 10° to 80°, by intensity:
index  d_spacing  I/Imax
1 0 1  3.972  1000
1 1 2  2.177  984
0 1 0  3.778  873
0 1 1  3.228  863
1 0 2  2.663  850
0 0 1  6.216  755
2 1 0  2.132  647
2 0 0  2.582  470
1 1 1  2.738  398
2 0 1  2.384  374
1 2 2  1.541  327
1 1 3  1.714  292

Atomic structure:
```
data_MgTaPO
_chemical_formula_sum 'Mg2 Ta2 P2 O2'
_cell_length_a 5.1641
_cell_length_b 3.7780
_cell_length_c 6.2156
_cell_angle_alpha 90.00
_cell_angle_beta 90.00
_cell_angle_gamma 90.00
_symmetry_space_group_name_H-M 'P m m a'
_symmetry_Int_Tables_number 51
loop_
_symmetry_equiv_pos_as_xyz
'x,y,z'
'-x,-y,-z'
'-x+1/2,-y,z'
'x+1/2,y,-z'
'x+1/2,-y,-z'
'-x+1/2,y,z'
'-x,y,-z'
'x,-y,z'
loop_
_atom_site_label
_atom_site_fract_x
_atom_site_fract_y
_atom_site_fract_z
Mg1 0.0000 0.0000 0.0000
Ta1 0.2500 0.5000 0.3661
P1 0.2500 0.5000 0.7663
O1 0.2500 0.0000 0.2446
```

No. 6
This entry pairs a crystal structure of Er6LuTe2Ir2 with its simulated powder X-ray diffraction pattern. Radiation: CuKα. Structure: a cell relaxed with PBE.
Peak positions follow from Bragg's law for the DFT cell and can differ from measured ones.

Top 12 peaks for 2θ from 10° to 80°, by intensity:
index  d_spacing  I/Imax
1 4 1  2.648  1000
1 1 2  2.954  561
1 3 2  2.601  462
0 3 3  2.684  439
2 0 0  1.956  263
1 2 3  2.334  254
2 3 3  1.581  239
1 0 3  2.447  223
0 2 0  7.786  208
1 3 0  3.124  121
0 6 2  2.272  104
1 7 2  1.789  93

Atomic structure:
```
data_Er6LuTe2Ir2
_chemical_formula_sum 'Er12 Lu2 Te4 Ir4'
_cell_length_a 3.9124
_cell_length_b 15.5718
_cell_length_c 9.4066
_cell_angle_alpha 90.00
_cell_angle_beta 90.00
_cell_angle_gamma 90.00
_symmetry_space_group_name_H-M 'I m m 2'
_symmetry_Int_Tables_number 44
loop_
_symmetry_equiv_pos_as_xyz
'x,y,z'
'-x,-y,z'
'-x,y,z'
'x,-y,z'
'x+1/2,y+1/2,z+1/2'
'-x+1/2,-y+1/2,z+1/2'
'-x+1/2,y+1/2,z+1/2'
'x+1/2,-y+1/2,z+1/2'
loop_
_atom_site_label
_atom_site_fract_x
_atom_site_fract_y
_atom_site_fract_z
Er1 0.0000 0.1317 0.0000
Er2 0.0000 0.3156 0.7896
Er3 0.0000 0.3540 0.1487
Lu1 0.0000 0.0000 0.4182
Te1 0.0000 0.0000 0.7545
Te2 0.0000 0.5000 0.6539
Ir1 0.0000 0.2378 0.4896
```